This entry pairs a crystal structure of Tb2C3 with its theoretical powder XRD pattern. Radiation: Cu Kα (weighted mean of Kα1 and Kα2). Structure: a DFT-relaxed cell (GGA-PBE, the Materials Project).
Neutral-atom scattering factors, no anomalous dispersion.

Structure:
Cell lengths 8.2886, 8.2886, 8.2886 Å; angles 90.00, 90.00, 90.00 degrees
Space group I-43d (No. 220)
Symmetry-distinct sites (fractional):
Tb (0.0507, 0.4493, 0.5507) (multiplicity 16)
C (0.0000, 0.2500, 0.7943) (multiplicity 24)

Main lines, sorted by position (5 to 70 degrees two-theta):
d 3.384, 26.34°, I 48.1, (2 1 1)
d 2.930, 30.50°, I 100.0, (2 2 0)
d 2.621, 34.21°, I 99.4, (3 1 0)
d 2.215, 40.73°, I 51.0, (3 2 1)
d 1.767, 51.73°, I 28.3, (3 3 2)
d 1.692, 54.21°, I 15.7, (4 2 2)
d 1.626, 56.62°, I 65.5, (4 3 1)
d 1.513, 61.25°, I 28.6, (5 2 1)

This entry pairs a crystal structure of KHCO2 with its theoretical powder XRD pattern. Radiation: Cu Kα (weighted mean of Kα1 and Kα2). Structure: a DFT-relaxed cell (GGA-PBE, the Materials Project).
Neutral-atom scattering factors, no anomalous dispersion.

Structure:
Cell lengths 5.9312, 6.9512, 7.0518 Å; angles 90.00, 90.00, 90.00 degrees
Space group Cmcm (No. 63)
Symmetry-distinct sites (fractional):
K (0.0000, 0.0000, 0.0000) (multiplicity 4)
H (0.0000, 0.4416, 0.2500) (multiplicity 4)
C (0.0000, 0.3982, 0.7500) (multiplicity 4)
O (0.1909, 0.3143, 0.7500) (multiplicity 8)

Main lines, sorted by position (5 to 70 degrees two-theta):
d 4.512, 19.68°, I 34.7, (1 1 0)
d 3.801, 23.41°, I 25.2, (1 1 1)
d 3.118, 28.63°, I 26.9, (0 2 1)
d 2.778, 32.22°, I 100.0, (1 1 2)
d 2.475, 36.29°, I 40.0, (0 2 2)
d 2.270, 39.71°, I 24.2, (2 0 2)
d 2.256, 39.96°, I 31.3, (2 2 0)
d 2.158, 41.86°, I 21.4, (1 3 0)